Record 1
Starting from a PBE-relaxed structure, the powder diffractogram of Ho2AlNiOs was computed for Cu Kα (weighted mean of Kα1 and Kα2).
Neutral-atom scattering factors, no anomalous dispersion.

Structural model:
```
data_Ho2AlNiOs
_cell_length_a 4.091
_cell_length_b 8.465
_cell_length_c 5.589
_cell_angle_alpha 90.00
_cell_angle_beta 90.00
_cell_angle_gamma 90.00
_space_group_name_H-M_alt 'I m m 2'
_space_group_IT_number 44
loop_
_space_group_symop_operation_xyz
'x,y,z'
'-x,-y,z'
'-x,y,z'
'x,-y,z'
'x+1/2,y+1/2,z+1/2'
'-x+1/2,-y+1/2,z+1/2'
'-x+1/2,y+1/2,z+1/2'
'x+1/2,-y+1/2,z+1/2'
loop_
_atom_site_label
_atom_site_fract_x
_atom_site_fract_y
_atom_site_fract_z
_atom_site_occupancy
Ho1 0.000 0.202 0.000 1
Al1 0.000 0.000 0.491 1
Ni1 0.000 0.500 0.252 1
Os1 0.000 0.500 0.714 1
```

Most intense lines, 10 to 80 degrees two-theta, by intensity:
d = 2.603 Å, intensity 100, (1 2 1)
d = 2.226 Å, intensity 68, (1 1 2)
d = 2.332 Å, intensity 67, (0 2 2)
d = 2.323 Å, intensity 66, (1 3 0)
d = 3.301 Å, intensity 58, (1 0 1)
d = 4.664 Å, intensity 44, (0 1 1)
d = 1.365 Å, intensity 37, (1 5 2)
d = 1.538 Å, intensity 36, (2 2 2)
d = 2.045 Å, intensity 36, (2 0 0)
d = 2.519 Å, intensity 26, (0 3 1)

Record 2
Starting from a PBE-relaxed structure, the powder diffractogram of Cu2Te3S3 was computed for Cu Kα (weighted mean of Kα1 and Kα2).
Neutral-atom scattering factors, no anomalous dispersion.

Structural model:
```
data_Cu2Te3S3
_cell_length_a 4.177
_cell_length_b 4.177
_cell_length_c 10.923
_cell_angle_alpha 90.00
_cell_angle_beta 90.00
_cell_angle_gamma 90.00
_space_group_name_H-M_alt 'P -4 m 2'
_space_group_IT_number 115
loop_
_space_group_symop_operation_xyz
'x,y,z'
'y,-x,-z'
'-x,-y,z'
'-y,x,-z'
'-x,y,z'
'-y,-x,-z'
'x,-y,z'
'y,x,-z'
loop_
_atom_site_label
_atom_site_fract_x
_atom_site_fract_y
_atom_site_fract_z
_atom_site_occupancy
Cu1 0.000 0.500 0.181 1
Te1 0.000 0.000 0.000 1
Te2 0.000 0.000 0.500 1
Te3 0.500 0.500 0.500 1
S1 0.500 0.500 0.000 1
S2 0.500 0.500 0.258 1
```

Most intense lines, 10 to 80 degrees two-theta, by intensity:
d = 2.598 Å, intensity 100, (1 1 2)
d = 2.005 Å, intensity 60, (1 1 4)
d = 5.461 Å, intensity 53, (0 0 2)
d = 2.089 Å, intensity 52, (2 0 0)
d = 2.954 Å, intensity 43, (1 1 0)
d = 3.902 Å, intensity 39, (1 0 1)
d = 3.318 Å, intensity 38, (1 0 2)
d = 2.731 Å, intensity 31, (0 0 4)
d = 1.659 Å, intensity 27, (2 0 4)
d = 1.284 Å, intensity 21, (3 1 2)

Record 3
Starting from a PBE-relaxed structure, the powder diffractogram of Sr2NdGe4Pd4 was computed for Cu Kα (weighted mean of Kα1 and Kα2).
Neutral-atom scattering factors, no anomalous dispersion.

Structural model:
```
data_Sr2NdGe4Pd4
_cell_length_a 4.291
_cell_length_b 4.398
_cell_length_c 25.417
_cell_angle_alpha 90.00
_cell_angle_beta 90.00
_cell_angle_gamma 90.00
_space_group_name_H-M_alt 'I m m m'
_space_group_IT_number 71
_space_group_name_Hall '-I 2 2'
loop_
_atom_site_label
_atom_site_fract_x
_atom_site_fract_y
_atom_site_fract_z
_atom_site_occupancy
Sr1 0.000 0.000 0.146 1
Nd1 0.000 0.500 0.000 1
Ge1 0.000 0.000 0.303 1
Ge2 0.000 0.500 0.452 1
Pd1 0.000 0.000 0.404 1
Pd2 0.000 0.500 0.250 1
```

Most intense lines, 10 to 80 degrees two-theta, by intensity:
d = 2.767 Å, intensity 100, (1 1 4)
d = 2.199 Å, intensity 22, (0 2 0)
d = 2.146 Å, intensity 20, (2 0 0)
d = 2.046 Å, intensity 16, (0 1 11)
d = 1.536 Å, intensity 14, (2 2 0)
d = 1.723 Å, intensity 14, (1 2 7)
d = 2.376 Å, intensity 13, (0 1 9)
d = 1.481 Å, intensity 11, (2 1 11)
d = 1.330 Å, intensity 10, (3 1 4)
d = 1.958 Å, intensity 9, (1 1 10)

Record 4
Starting from a PBE-relaxed structure, the powder diffractogram of Y2ErNi2B2N3 was computed for Cu Kα (weighted mean of Kα1 and Kα2).
Neutral-atom scattering factors, no anomalous dispersion.

Structural model:
```
data_Y2ErNi2B2N3
_cell_length_a 3.469
_cell_length_b 3.469
_cell_length_c 19.974
_cell_angle_alpha 90.00
_cell_angle_beta 90.00
_cell_angle_gamma 90.00
_space_group_name_H-M_alt 'I 4/m m m'
_space_group_IT_number 139
_space_group_name_Hall '-I 4 2'
loop_
_atom_site_label
_atom_site_fract_x
_atom_site_fract_y
_atom_site_fract_z
_atom_site_occupancy
Y1 0.000 0.000 0.123 1
Er1 0.000 0.000 0.500 1
Ni1 0.000 0.500 0.250 1
B1 0.000 0.000 0.311 1
N1 0.000 0.000 0.000 1
N2 0.000 0.000 0.384 1
```

Most intense lines, 10 to 80 degrees two-theta, by intensity:
d = 3.076 Å, intensity 100, (1 0 3)
d = 2.619 Å, intensity 87, (1 0 5)
d = 2.382 Å, intensity 80, (1 1 2)
d = 2.497 Å, intensity 60, (0 0 8)
d = 1.734 Å, intensity 44, (2 0 0)
d = 1.975 Å, intensity 42, (1 1 6)
d = 1.424 Å, intensity 39, (2 0 8)
d = 2.453 Å, intensity 34, (1 1 0)
d = 1.446 Å, intensity 29, (2 1 5)
d = 1.549 Å, intensity 28, (1 1 10)

Record 5
Starting from a PBE-relaxed structure, the powder diffractogram of TbDy2Sb3 was computed for Cu Kα (weighted mean of Kα1 and Kα2).
Neutral-atom scattering factors, no anomalous dispersion.

Structural model:
```
data_TbDy2Sb3
_cell_length_a 4.3831
_cell_length_b 4.3831
_cell_length_c 10.7373
_cell_angle_alpha 90.00
_cell_angle_beta 90.00
_cell_angle_gamma 120.00
_space_group_name_H-M_alt 'P -3 m 1'
_space_group_IT_number 164
_space_group_name_Hall '-P 3 2"'
loop_
_atom_site_label
_atom_site_fract_x
_atom_site_fract_y
_atom_site_fract_z
_atom_site_occupancy
Tb1 0.0000 0.0000 0.0000 1
Dy1 0.3333 0.6667 0.6665 1
Sb1 0.0000 0.0000 0.5000 1
Sb2 0.3333 0.6667 0.1674 1
```

Most intense lines, 10 to 80 degrees two-theta, by intensity:
d = 3.099 Å, intensity 100, (0 1 2)
d = 2.192 Å, intensity 76, (1 1 0)
d = 1.386 Å, intensity 35, (1 2 2)
d = 1.789 Å, intensity 27, (2 0 2)
d = 1.265 Å, intensity 26, (3 0 0)
d = 1.550 Å, intensity 13, (0 2 4)
d = 3.579 Å, intensity 3, (1 0 1)
d = 1.869 Å, intensity 2, (1 1 3)
d = 1.422 Å, intensity 1, (2 1 1)

Record 6
Starting from a PBE-relaxed structure, the powder diffractogram of Na2Sc2In2AgPd was computed for Cu Kα (weighted mean of Kα1 and Kα2).
Neutral-atom scattering factors, no anomalous dispersion.

Structural model:
```
data_Na2Sc2In2AgPd
_cell_length_a 4.813
_cell_length_b 4.813
_cell_length_c 6.857
_cell_angle_alpha 90.00
_cell_angle_beta 90.00
_cell_angle_gamma 90.00
_space_group_name_H-M_alt 'P -4 m 2'
_space_group_IT_number 115
loop_
_space_group_symop_operation_xyz
'x,y,z'
'y,-x,-z'
'-x,-y,z'
'-y,x,-z'
'-x,y,z'
'-y,-x,-z'
'x,-y,z'
'y,x,-z'
loop_
_atom_site_label
_atom_site_fract_x
_atom_site_fract_y
_atom_site_fract_z
_atom_site_occupancy
Na1 0.000 0.000 0.000 1
Na2 0.500 0.500 0.500 1
Sc1 0.000 0.500 0.738 1
In1 0.000 0.500 0.253 1
Ag1 0.500 0.500 0.000 1
Pd1 0.000 0.000 0.500 1
```

Most intense lines, 10 to 80 degrees two-theta, by intensity:
d = 2.415 Å, intensity 100, (1 1 2)
d = 3.939 Å, intensity 52, (1 0 1)
d = 2.407 Å, intensity 50, (2 0 0)
d = 1.391 Å, intensity 32, (3 1 2)
d = 2.054 Å, intensity 18, (2 1 1)
d = 1.702 Å, intensity 16, (2 2 0)
d = 1.396 Å, intensity 16, (2 0 4)
d = 1.208 Å, intensity 10, (2 2 4)
d = 2.065 Å, intensity 9, (1 0 3)
d = 1.714 Å, intensity 8, (0 0 4)

Record 7
Starting from a PBE-relaxed structure, the powder diffractogram of SmLu2Al7Ag2 was computed for Cu Kα (weighted mean of Kα1 and Kα2).
Neutral-atom scattering factors, no anomalous dispersion.

Structural model:
```
data_SmLu2Al7Ag2
_cell_length_a 5.5311
_cell_length_b 5.5311
_cell_length_c 26.2609
_cell_angle_alpha 90.00
_cell_angle_beta 90.00
_cell_angle_gamma 120.00
_space_group_name_H-M_alt 'R -3 m'
_space_group_IT_number 166
_space_group_name_Hall '-R 3 2"'
loop_
_atom_site_label
_atom_site_fract_x
_atom_site_fract_y
_atom_site_fract_z
_atom_site_occupancy
Sm1 0.0000 0.0000 0.0000 1
Lu1 0.0000 0.0000 0.1425 1
Al1 0.0000 0.0000 0.5000 1
Al2 0.0078 0.5039 0.9152 1
Ag1 0.0000 0.0000 0.3355 1
```

Most intense lines, 10 to 80 degrees two-theta, by intensity:
d = 2.338 Å, intensity 100, (1 1 6)
d = 2.766 Å, intensity 87, (1 1 0)
d = 4.377 Å, intensity 38, (0 0 6)
d = 2.954 Å, intensity 31, (1 0 7)
d = 1.500 Å, intensity 24, (0 3 6)
d = 3.870 Å, intensity 21, (1 0 4)
d = 4.712 Å, intensity 21, (1 0 1)
d = 2.708 Å, intensity 19, (0 1 8)
d = 1.479 Å, intensity 17, (1 1 15)
d = 1.383 Å, intensity 17, (2 2 0)

Record 8
Starting from a PBE-relaxed structure, the powder diffractogram of CsTlPdCl4 was computed for Cu Kα (weighted mean of Kα1 and Kα2).
Neutral-atom scattering factors, no anomalous dispersion.

Structural model:
```
data_CsTlPdCl4
_cell_length_a 4.446
_cell_length_b 7.128
_cell_length_c 7.535
_cell_angle_alpha 90.00
_cell_angle_beta 90.00
_cell_angle_gamma 90.00
_space_group_name_H-M_alt 'P m m m'
_space_group_IT_number 47
loop_
_space_group_symop_operation_xyz
'x,y,z'
'-x,-y,-z'
'-x,-y,z'
'x,y,-z'
'x,-y,-z'
'-x,y,z'
'-x,y,-z'
'x,-y,z'
loop_
_atom_site_label
_atom_site_fract_x
_atom_site_fract_y
_atom_site_fract_z
_atom_site_occupancy
Cs1 0.000 0.000 0.000 1
Tl1 0.000 0.500 0.500 1
Pd1 0.500 0.000 0.500 1
Cl1 0.500 0.234 0.284 1
```

Most intense lines, 10 to 80 degrees two-theta, by intensity:
d = 3.373 Å, intensity 100, (1 1 1)
d = 2.589 Å, intensity 40, (0 2 2)
d = 7.535 Å, intensity 36, (0 0 1)
d = 5.178 Å, intensity 33, (0 1 1)
d = 3.770 Å, intensity 28, (0 0 2)
d = 2.091 Å, intensity 25, (1 1 3)
d = 1.686 Å, intensity 24, (2 2 2)
d = 2.019 Å, intensity 23, (1 3 1)
d = 2.874 Å, intensity 21, (1 0 2)
d = 2.781 Å, intensity 20, (1 2 0)

Record 9
Starting from a PBE-relaxed structure, the powder diffractogram of Zr2BAu was computed for Cu Kα (weighted mean of Kα1 and Kα2).
Neutral-atom scattering factors, no anomalous dispersion.

Structural model:
```
data_Zr2BAu
_cell_length_a 3.4931
_cell_length_b 3.4931
_cell_length_c 13.8109
_cell_angle_alpha 90.00
_cell_angle_beta 90.00
_cell_angle_gamma 120.00
_space_group_name_H-M_alt 'P 63/m m c'
_space_group_IT_number 194
_space_group_name_Hall '-P 6c 2c'
loop_
_atom_site_label
_atom_site_fract_x
_atom_site_fract_y
_atom_site_fract_z
_atom_site_occupancy
Zr1 0.3333 0.6667 0.0946 1
B1 0.0000 0.0000 0.0000 1
Au1 0.3333 0.6667 0.7500 1
```

Most intense lines, 10 to 80 degrees two-theta, by intensity:
d = 2.528 Å, intensity 100, (1 0 3)
d = 3.025 Å, intensity 25, (1 0 0)
d = 1.747 Å, intensity 23, (1 1 0)
d = 6.905 Å, intensity 21, (0 0 2)
d = 1.391 Å, intensity 18, (1 1 6)
d = 1.437 Å, intensity 17, (2 0 3)
d = 2.302 Å, intensity 15, (0 0 6)
d = 1.832 Å, intensity 13, (1 0 6)
d = 1.369 Å, intensity 12, (1 0 9)
d = 2.040 Å, intensity 10, (1 0 5)

Record 10
Starting from a PBE-relaxed structure, the powder diffractogram of TbYSi2Os was computed for Cu Kα (weighted mean of Kα1 and Kα2).
Neutral-atom scattering factors, no anomalous dispersion.

Structural model:
```
data_TbYSi2Os
_cell_length_a 10.734
_cell_length_b 4.229
_cell_length_c 10.047
_cell_angle_alpha 90.00
_cell_angle_beta 119.15
_cell_angle_gamma 90.00
_space_group_name_H-M_alt 'C 1 2/m 1'
_space_group_IT_number 12
loop_
_space_group_symop_operation_xyz
'x,y,z'
'-x,-y,-z'
'-x,y,-z'
'x,-y,z'
'x+1/2,y+1/2,z'
'-x+1/2,-y+1/2,-z'
'-x+1/2,y+1/2,-z'
'x+1/2,-y+1/2,z'
loop_
_atom_site_label
_atom_site_fract_x
_atom_site_fract_y
_atom_site_fract_z
_atom_site_occupancy
Tb1 0.009 0.000 0.179 1
Y1 0.185 0.000 0.611 1
Si1 0.002 0.500 0.375 1
Si2 0.146 0.500 0.061 1
Os1 0.229 0.500 0.874 1
```

Most intense lines, 10 to 80 degrees two-theta, by intensity:
d = 8.775 Å, intensity 100, (0 0 1)
d = 2.645 Å, intensity 88, (1 1 2)
d = 2.435 Å, intensity 70, (3 1 -3)
d = 2.197 Å, intensity 60, (0 0 4)
d = 2.680 Å, intensity 60, (3 1 -2)
d = 2.114 Å, intensity 43, (0 2 0)
d = 2.602 Å, intensity 27, (4 0 -1)
d = 3.235 Å, intensity 27, (1 1 -2)
d = 3.855 Å, intensity 26, (1 1 0)
d = 1.557 Å, intensity 26, (3 1 -6)

Record 11
Starting from a PBE-relaxed structure, the powder diffractogram of Rb2Tm3Se4 was computed for Cu Kα (weighted mean of Kα1 and Kα2).
Neutral-atom scattering factors, no anomalous dispersion.

Structural model:
```
data_Rb2Tm3Se4
_cell_length_a 7.642
_cell_length_b 11.255
_cell_length_c 15.448
_cell_angle_alpha 90.00
_cell_angle_beta 90.00
_cell_angle_gamma 90.00
_space_group_name_H-M_alt 'F m m m'
_space_group_IT_number 69
_space_group_name_Hall '-F 2 2'
loop_
_atom_site_label
_atom_site_fract_x
_atom_site_fract_y
_atom_site_fract_z
_atom_site_occupancy
Rb1 0.000 0.000 0.181 1
Tm1 0.000 0.000 0.500 1
Tm2 0.250 0.250 0.000 1
Se1 0.000 0.184 0.376 1
```

Most intense lines, 10 to 80 degrees two-theta, by intensity:
d = 7.724 Å, intensity 100, (0 0 2)
d = 2.817 Å, intensity 95, (0 4 0)
d = 2.446 Å, intensity 76, (2 2 4)
d = 5.851 Å, intensity 49, (1 1 1)
d = 2.926 Å, intensity 39, (2 2 2)
d = 1.996 Å, intensity 39, (2 2 6)
d = 3.993 Å, intensity 35, (1 1 3)
d = 3.161 Å, intensity 34, (2 2 0)
d = 4.548 Å, intensity 32, (0 2 2)
d = 2.716 Å, intensity 29, (2 0 4)

Record 12
Starting from a PBE-relaxed structure, the powder diffractogram of BaNaAgMoS4 was computed for Cu Kα (weighted mean of Kα1 and Kα2).
Neutral-atom scattering factors, no anomalous dispersion.

Structural model:
```
data_BaNaAgMoS4
_cell_length_a 10.037
_cell_length_b 8.036
_cell_length_c 7.097
_cell_angle_alpha 90.00
_cell_angle_beta 134.97
_cell_angle_gamma 90.00
_space_group_name_H-M_alt 'C 1 2 1'
_space_group_IT_number 5
loop_
_space_group_symop_operation_xyz
'x,y,z'
'-x,y,-z'
'x+1/2,y+1/2,z'
'-x+1/2,y+1/2,-z'
loop_
_atom_site_label
_atom_site_fract_x
_atom_site_fract_y
_atom_site_fract_z
_atom_site_occupancy
Ba1 0.000 0.000 0.000 1
Na1 0.000 0.749 0.500 1
Ag1 0.000 0.251 0.500 1
Mo1 0.000 0.500 0.000 1
S1 0.180 0.340 0.379 1
S2 0.199 0.660 0.018 1
```

Most intense lines, 10 to 80 degrees two-theta, by intensity:
d = 3.137 Å, intensity 100, (0 2 1)
d = 1.960 Å, intensity 54, (2 2 1)
d = 2.509 Å, intensity 42, (0 0 2)
d = 3.550 Å, intensity 35, (2 0 0)
d = 5.320 Å, intensity 23, (1 1 0)
d = 1.748 Å, intensity 22, (2 4 0)
d = 2.953 Å, intensity 18, (1 1 1)
d = 1.587 Å, intensity 16, (6 0 -2)
d = 5.020 Å, intensity 14, (0 0 1)
d = 1.316 Å, intensity 12, (6 2 -1)